Li2Ac2LaIn2: computed PXRD pattern (Cu Kα (weighted mean of Kα1 and Kα2)), based on a DFT-relaxed cell (PBE, Alexandria).

Most intense lines, 10 to 90 degrees two-theta, by intensity:
d (Å), I/Imax
2.543, 100
2.786, 99
4.354, 98
3.005, 91
1.878, 32
1.511, 32
1.531, 30
3.498, 28

Structural model:
```
7
Lattice="2.543 1.468 9.590 -2.543 1.468 9.590 0.000 -2.937 9.590" Properties=species:S:1:pos:R:3 pbc="T T T"
Li 0.000 0.000 3.228
Li 0.000 0.000 25.542
Ac 0.000 0.000 10.773
Ac 0.000 0.000 17.997
La 0.000 0.000 14.385
In 0.000 0.000 6.654
In 0.000 0.000 22.115
```

***

AcLaNd2In4: computed PXRD pattern (Cu Kα (weighted mean of Kα1 and Kα2)), based on a DFT-relaxed cell (PBE, Alexandria).

Most intense lines, 10 to 90 degrees two-theta, by intensity:
d (Å), I/Imax
2.798, 100
1.616, 29
1.978, 18
1.251, 16
1.614, 10
1.398, 6
1.400, 6
1.142, 3

Structural model:
```
8
Lattice="2.796 1.614 9.152 -2.796 1.614 9.152 0.000 -3.228 9.152" Properties=species:S:1:pos:R:3 pbc="T T T"
Ac 0.000 0.000 0.000
La 0.000 0.000 13.728
Nd 0.000 0.000 6.864
Nd 0.000 0.000 20.592
In 0.000 0.000 3.474
In 0.000 0.000 10.341
In 0.000 0.000 17.114
In 0.000 0.000 23.982
```

***

AcLa2InRh: computed PXRD pattern (Cu Kα (weighted mean of Kα1 and Kα2)), based on a DFT-relaxed cell (PBE, Alexandria).

Most intense lines, 10 to 90 degrees two-theta, by intensity:
d (Å), I/Imax
3.234, 100
2.762, 67
1.994, 52
2.883, 37
5.524, 31
1.672, 30
1.617, 27
1.953, 24

Structural model:
```
5
Lattice="5.524 0.000 0.000 0.000 5.524 0.000 0.000 0.000 5.766" Properties=species:S:1:pos:R:3 pbc="T T T"
Ac 0.000 0.000 0.000
La 0.000 2.762 2.881
La 2.762 0.000 2.881
In 2.762 2.762 0.009
Rh 0.000 0.000 2.883
```

***

Li15Ac6In8: computed PXRD pattern (Cu Kα (weighted mean of Kα1 and Kα2)), based on a DFT-relaxed cell (PBE, Alexandria).

Most intense lines, 10 to 90 degrees two-theta, by intensity:
d (Å), I/Imax
2.523, 100
4.121, 84
2.747, 82
3.275, 77
7.137, 38
1.744, 36
1.380, 32
2.914, 26

Structural model:
```
29
Lattice="0.000 7.137 7.137 7.137 0.000 7.137 7.137 7.137 0.000" Properties=species:S:1:pos:R:3 pbc="T T T"
Li 0.000 0.000 0.000
Li 3.569 3.569 0.000
Li 3.569 0.000 3.569
Li 7.137 3.569 3.569
Li 4.608 2.529 2.529
Li 2.529 4.608 2.529
Li 2.529 2.529 4.608
Li 4.608 4.608 4.608
Li 0.000 3.569 3.569
Li 3.569 7.137 3.569
Li 3.569 3.569 7.137
Li 9.667 9.667 9.667
Li 11.746 11.746 9.667
Li 11.746 9.667 11.746
Li 9.667 11.746 11.746
Ac 7.137 7.137 4.157
Ac 7.137 4.157 7.137
Ac 10.118 7.137 7.137
Ac 4.157 7.137 7.137
Ac 7.137 10.118 7.137
Ac 7.137 7.137 10.118
In 1.774 1.774 1.774
In 5.364 5.364 1.774
In 5.364 1.774 5.364
In 12.501 8.911 8.911
In 1.774 5.364 5.364
In 8.911 12.501 8.911
In 8.911 8.911 12.501
In 12.501 12.501 12.501
```

***

Li4Ac2In3: computed PXRD pattern (Cu Kα (weighted mean of Kα1 and Kα2)), based on a DFT-relaxed cell (PBE, Alexandria).

Most intense lines, 10 to 90 degrees two-theta, by intensity:
d (Å), I/Imax
3.798, 100
2.846, 73
2.999, 44
2.540, 37
2.553, 36
2.679, 34
3.449, 33
4.872, 31

Structural model:
```
18
Lattice="3.177 -8.590 0.000 3.177 8.590 0.000 0.000 0.000 8.458" Properties=species:S:1:pos:R:3 pbc="T T T"
Li 3.177 5.539 8.376
Li 1.588 1.099 6.344
Li 1.588 -1.099 2.115
Li 3.177 3.052 4.147
Li 3.177 -3.052 4.311
Li 4.765 1.099 6.344
Li 4.765 -1.099 2.115
Li 3.177 -5.539 0.082
Ac 3.177 6.696 4.988
Ac 3.177 1.894 0.759
Ac 3.177 -1.894 7.699
Ac 3.177 -6.696 3.470
In 0.000 0.000 0.000
In 1.588 3.941 6.344
In 1.588 -3.941 2.115
In 3.177 0.000 4.229
In 4.765 3.941 6.344
In 4.765 -3.941 2.115
```

***

LiAc2In3: computed PXRD pattern (Cu Kα (weighted mean of Kα1 and Kα2)), based on a DFT-relaxed cell (PBE, Alexandria).

Most intense lines, 10 to 90 degrees two-theta, by intensity:
d (Å), I/Imax
3.002, 100
2.503, 66
2.991, 61
2.558, 47
4.398, 38
2.956, 37
3.050, 36
1.934, 27

Structural model:
```
6
Lattice="5.920 -2.558 0.000 5.920 2.558 0.000 -5.618 0.000 5.954" Properties=species:S:1:pos:R:3 pbc="T T T"
Li 0.000 0.000 0.000
Ac 4.963 0.000 2.685
Ac 8.248 0.000 0.133
In -3.434 0.000 3.733
In 1.364 0.000 2.575
In -0.800 0.000 5.120
```

***

Li6Ac3In5: computed PXRD pattern (Cu Kα (weighted mean of Kα1 and Kα2)), based on a DFT-relaxed cell (PBE, Alexandria).

Most intense lines, 10 to 90 degrees two-theta, by intensity:
d (Å), I/Imax
3.498, 100
2.730, 40
4.888, 33
2.712, 32
2.844, 32
2.501, 26
1.839, 21
1.578, 18

Structural model:
```
14
Lattice="-2.501 4.888 7.339 2.501 -4.888 7.339 2.501 4.888 -7.339" Properties=species:S:1:pos:R:3 pbc="T T T"
Li 2.501 2.074 -2.066
Li 0.000 1.766 0.000
Li 2.501 2.074 2.066
Li 0.000 2.814 5.273
Li 0.000 8.010 0.000
Li 0.000 2.814 9.405
Ac 0.000 0.000 2.932
Ac 0.000 0.000 7.339
Ac 0.000 0.000 11.745
In 2.501 0.000 0.000
In 2.501 -1.447 5.033
In 2.501 1.447 5.033
In 0.000 3.441 2.306
In 0.000 6.335 2.306
```

***

Li5AcIn7: computed PXRD pattern (Cu Kα (weighted mean of Kα1 and Kα2)), based on a DFT-relaxed cell (PBE, Alexandria).

Most intense lines, 10 to 90 degrees two-theta, by intensity:
d (Å), I/Imax
2.500, 100
2.890, 76
4.983, 51
2.935, 51
1.440, 28
1.597, 25
2.529, 23
2.491, 21

Structural model:
```
13
Lattice="-2.935 4.979 4.984 2.935 -4.979 4.984 2.935 4.979 -4.984" Properties=species:S:1:pos:R:3 pbc="T T T"
Li 0.000 0.000 0.000
Li 1.495 2.493 -0.232
Li 4.375 2.493 -0.232
Li -1.440 2.486 4.752
Li 1.440 2.486 4.752
Ac 2.935 0.000 2.311
In 2.935 2.878 -2.816
In 0.000 2.101 2.168
In 0.000 0.000 4.540
In 0.000 4.979 0.762
In 2.935 3.449 2.377
In 0.000 4.979 3.802
In 0.000 1.529 7.361
```

***

Li6Ac2In9: computed PXRD pattern (Cu Kα (weighted mean of Kα1 and Kα2)), based on a DFT-relaxed cell (PBE, Alexandria).

Most intense lines, 10 to 90 degrees two-theta, by intensity:
d (Å), I/Imax
3.497, 100
2.625, 87
1.748, 49
2.545, 49
1.827, 32
2.291, 23
2.344, 21
4.687, 20

Structural model:
```
17
Lattice="6.063 0.000 0.000 -3.031 5.250 0.000 0.000 0.000 14.062" Properties=species:S:1:pos:R:3 pbc="T T T"
Li 0.000 3.500 0.000
Li 0.000 3.500 4.746
Li 0.000 3.500 9.316
Li 3.031 1.750 0.000
Li 3.031 1.750 4.746
Li 3.031 1.750 9.316
Ac 0.000 0.000 4.619
Ac 0.000 0.000 9.442
In -1.516 2.625 2.441
In -1.516 2.625 7.031
In -1.516 2.625 11.621
In 3.031 0.000 2.441
In 3.031 0.000 7.031
In 3.031 0.000 11.621
In 1.516 2.625 2.441
In 1.516 2.625 7.031
In 1.516 2.625 11.621
```

***

LiAc6In: computed PXRD pattern (Cu Kα (weighted mean of Kα1 and Kα2)), based on a DFT-relaxed cell (PBE, Alexandria).

Most intense lines, 10 to 90 degrees two-theta, by intensity:
d (Å), I/Imax
3.107, 100
2.840, 44
1.687, 35
3.717, 22
1.856, 17
2.008, 17
2.144, 14
1.762, 13

Structural model:
```
8
Lattice="-2.840 2.840 9.805 2.840 -2.840 9.805 2.840 2.840 -9.805" Properties=species:S:1:pos:R:3 pbc="T T T"
Li 0.000 0.000 0.000
Ac 2.840 0.000 2.114
Ac 0.000 0.000 4.906
Ac 2.840 0.000 7.691
Ac 0.000 2.840 2.114
Ac 0.000 0.000 14.703
Ac 0.000 2.840 7.691
In 0.000 0.000 9.805
```

***

LiAcMgIn: computed PXRD pattern (Cu Kα (weighted mean of Kα1 and Kα2)), based on a DFT-relaxed cell (PBE, Alexandria).

Most intense lines, 10 to 90 degrees two-theta, by intensity:
d (Å), I/Imax
2.692, 100
4.396, 84
2.296, 48
1.555, 22
1.903, 18
1.553, 16
1.204, 14
3.807, 13

Structural model:
```
4
Lattice="4.658 -2.690 0.000 4.658 2.690 0.000 -3.109 0.000 4.402" Properties=species:S:1:pos:R:3 pbc="T T T"
Li 0.000 0.000 0.000
Ac -0.002 0.000 3.292
Mg 6.216 0.000 1.089
In 3.105 0.000 2.186
```

***

LiAcInPd: computed PXRD pattern (Cu Kα (weighted mean of Kα1 and Kα2)), based on a DFT-relaxed cell (PBE, Alexandria).

Most intense lines, 10 to 90 degrees two-theta, by intensity:
d (Å), I/Imax
2.794, 100
2.376, 88
3.620, 83
3.972, 45
1.733, 32
1.810, 28
2.537, 25
2.447, 23

Structural model:
```
4
Lattice="4.118 -2.374 0.000 4.118 2.374 0.000 -2.761 0.000 5.073" Properties=species:S:1:pos:R:3 pbc="T T T"
Li 0.000 0.000 0.000
Ac -0.015 0.000 3.076
In 5.490 0.000 0.635
Pd 2.746 0.000 1.078
```

***

Please write out number 8 again, unchanged.
Li5AcIn7: computed PXRD pattern (Cu Kα (weighted mean of Kα1 and Kα2)), based on a DFT-relaxed cell (PBE, Alexandria).

Most intense lines, 10 to 90 degrees two-theta, by intensity:
d (Å), I/Imax
2.500, 100
2.890, 76
4.983, 51
2.935, 51
1.440, 28
1.597, 25
2.529, 23
2.491, 21

Structural model:
```
13
Lattice="-2.935 4.979 4.984 2.935 -4.979 4.984 2.935 4.979 -4.984" Properties=species:S:1:pos:R:3 pbc="T T T"
Li 0.000 0.000 0.000
Li 1.495 2.493 -0.232
Li 4.375 2.493 -0.232
Li -1.440 2.486 4.752
Li 1.440 2.486 4.752
Ac 2.935 0.000 2.311
In 2.935 2.878 -2.816
In 0.000 2.101 2.168
In 0.000 0.000 4.540
In 0.000 4.979 0.762
In 2.935 3.449 2.377
In 0.000 4.979 3.802
In 0.000 1.529 7.361
```